HgPSeS2: simulated powder diffractogram (Cu Kα), based on a cell relaxed with PBE.

Peak list (10 most intense, 5 to 70 degrees two-theta, by intensity)
| hkl | 2θ/deg | I (rel.) |
| --- | --- | --- |
| 0 0 1 | 12.8 | 100 |
| -1 1 1 | 19.5 | 76 |
| 1 1 -1 | 27.0 | 58 |
| 1 -1 2 | 31.9 | 49 |
| 1 -1 0 | 16.1 | 48 |
| 0 0 2 | 25.7 | 42 |
| -2 2 1 | 33.7 | 36 |
| 1 -2 0 | 27.5 | 33 |
| 1 0 1 | 24.9 | 31 |
| 1 -3 0 | 42.7 | 28 |

Atomic structure:
Cell: 6.3792 6.5272 7.5308 Å, 96.68 105.80 118.19°
Atoms (fractional coordinates):
Hg  0.1320  0.2579  0.3527
Hg  0.8680  0.7421  0.6473
P  0.4554  0.9454  0.3366
P  0.5446  0.0546  0.6634
Se  0.4915  0.3685  0.7236
Se  0.5085  0.6315  0.2764
S  0.0900  0.8495  0.1981
S  0.2916  0.7644  0.7276
S  0.7084  0.2356  0.2724
S  0.9100  0.1505  0.8019